Computed XRD peak list
Compound: Na2HoWO6
Radiation: Cu Kα X-rays
Structure: the GGA+U geometry in Alexandria

Most intense lines, 10 to 90 degrees two-theta, sorted by position:
d [Å], 2θ (°), I (rel.), index
4.073, 21.8, 100, 1 1 -1
2.913, 30.7, 18, 0 2 0
2.880, 31.1, 70, 1 1 -3
2.849, 31.4, 16, 2 0 -2
2.036, 44.5, 30, 0 0 4
1.821, 50.1, 29, 2 2 -4
1.675, 54.8, 15, 1 3 -3
1.651, 55.7, 16, 3 1 -5
1.440, 64.7, 11, 2 2 -6
1.288, 73.5, 12, 1 1 -7

Cell and atoms:
```
data_Na2HoWO6
_cell_length_a 5.699
_cell_length_b 5.825
_cell_length_c 9.936
_cell_angle_alpha 90.00
_cell_angle_beta 124.95
_cell_angle_gamma 90.00
_space_group_name_H-M_alt 'P 1 21/c 1'
_space_group_IT_number 14
loop_
_space_group_symop_operation_xyz
'x,y,z'
'-x,-y,-z'
'-x,y+1/2,-z+1/2'
'x,-y+1/2,z+1/2'
loop_
_atom_site_label
_atom_site_type_symbol
_atom_site_fract_x
_atom_site_fract_y
_atom_site_fract_z
_atom_site_occupancy
Na1 Na 0.245 0.030 0.252 1
Ho1 Ho 0.500 0.000 0.000 1
W1 W 0.000 0.000 0.500 1
O1 O 0.143 0.228 0.954 1
O2 O 0.233 0.692 0.960 1
O3 O 0.314 0.025 0.731 1
```